Entry 1:
Calculated X-ray powder pattern
Compound: KS
Radiation: Cu Kα, 1.54184 Å
Structure: DFT lattice parameters and positions (GGA-PBE)
Intensities are scaled so that the largest is 100.

Cell and atoms:
a b c (Å): 4.6040 4.6040 4.6040
angles (deg): 60.00 60.00 60.00
Positions (direct):
K: 0.0000 0.0000 0.0000
S: 0.5000 0.5000 0.5000

Peak list (8 most intense, 10° ≤ 2θ ≤ 80°, in order of falling intensity)
| 2theta | I/Imax |
| --- | --- |
| 27.40 | 100.0 |
| 39.13 | 68.8 |
| 63.94 | 27.6 |
| 48.43 | 23.0 |
| 70.91 | 20.0 |
| 56.54 | 10.3 |
| 23.67 | 1.7 |
| 46.24 | 0.9 |

***

Entry 2:
Calculated X-ray powder pattern
Compound: Cs4Zr6BBr17
Radiation: Cu Kα, 1.54184 Å
Structure: DFT lattice parameters and positions (GGA-PBE)
Intensities are scaled so that the largest is 100.

Cell and atoms:
a b c (Å): 12.8644 12.8644 11.8205
angles (deg): 90.00 90.00 90.00
Positions (direct):
Cs: 0.0210 0.2194 0.1608
Cs: 0.2194 0.9790 0.8392
Cs: 0.2806 0.4790 0.1608
Cs: 0.4790 0.7194 0.8392
Cs: 0.5210 0.2806 0.8392
Cs: 0.7194 0.5210 0.1608
Cs: 0.7806 0.0210 0.8392
Cs: 0.9790 0.7806 0.1608
Zr: 0.0920 0.5920 0.5218
Zr: 0.0920 0.5920 0.8027
Zr: 0.1289 0.3711 0.6593
Zr: 0.3711 0.8711 0.3407
Zr: 0.4080 0.0920 0.1973
Zr: 0.4081 0.0920 0.4782
Zr: 0.5920 0.9080 0.1973
Zr: 0.5920 0.9080 0.4782
Zr: 0.6289 0.1289 0.3407
Zr: 0.8711 0.6289 0.6593
Zr: 0.9080 0.4081 0.5218
Zr: 0.9080 0.4080 0.8027
B: 0.0000 0.5000 0.6617
B: 0.5000 0.0000 0.3383
Br: 0.0000 0.0000 0.0000
Br: 0.0000 0.5000 0.3367
Br: 0.0000 0.5000 0.9878
Br: 0.0406 0.2461 0.5016
Br: 0.0443 0.2479 0.8203
Br: 0.2055 0.7055 0.3402
Br: 0.2048 0.7048 0.9715
Br: 0.2088 0.7088 0.6625
Br: 0.2461 0.9594 0.4984
Br: 0.2479 0.9557 0.1797
Br: 0.2521 0.4557 0.8203
Br: 0.2539 0.4594 0.5016
Br: 0.2912 0.2088 0.3375
Br: 0.2952 0.2048 0.0285
Br: 0.2945 0.2055 0.6598
Br: 0.4557 0.7479 0.1797
Br: 0.4594 0.7461 0.4984
Br: 0.5000 0.0000 0.0122
Br: 0.5000 0.0000 0.6633
Br: 0.5000 0.5000 0.0000
Br: 0.5406 0.2539 0.4984
Br: 0.5443 0.2521 0.1797
Br: 0.7048 0.7952 0.0285
Br: 0.7055 0.7945 0.6598
Br: 0.7088 0.7912 0.3375
Br: 0.7461 0.5406 0.5016
Br: 0.7479 0.5443 0.8203
Br: 0.7521 0.0443 0.1797
Br: 0.7539 0.0406 0.4984
Br: 0.7912 0.2912 0.6625
Br: 0.7945 0.2945 0.3402
Br: 0.7952 0.2952 0.9715
Br: 0.9557 0.7521 0.8203
Br: 0.9594 0.7539 0.5016

Peak list (10 most intense, 10° ≤ 2θ ≤ 80°, in order of falling intensity)
| 2theta | I/Imax |
| --- | --- |
| 30.01 | 100.0 |
| 33.89 | 43.1 |
| 48.88 | 25.9 |
| 28.61 | 23.1 |
| 27.74 | 22.3 |
| 34.87 | 21.6 |
| 39.63 | 21.2 |
| 10.16 | 20.6 |
| 12.28 | 18.4 |
| 22.05 | 17.4 |

***

Entry 3:
Calculated X-ray powder pattern
Compound: PaGa3
Radiation: Cu Kα, 1.54184 Å
Structure: DFT lattice parameters and positions (GGA-PBE)
Intensities are scaled so that the largest is 100.

Cell and atoms:
a b c (Å): 4.3065 4.3065 4.3065
angles (deg): 90.00 90.00 90.00
Positions (direct):
Pa: 0.0000 0.0000 0.0000
Ga: 0.0000 0.5000 0.5000
Ga: 0.5000 0.0000 0.5000
Ga: 0.5000 0.5000 0.0000

Peak list (10 most intense, 10° ≤ 2θ ≤ 80°, in order of falling intensity)
| 2theta | I/Imax |
| --- | --- |
| 36.13 | 100.0 |
| 41.96 | 49.5 |
| 72.84 | 38.5 |
| 20.62 | 34.4 |
| 60.84 | 32.9 |
| 29.33 | 29.6 |
| 47.19 | 17.0 |
| 52.02 | 13.0 |
| 76.65 | 11.1 |
| 64.97 | 8.6 |